Record 1
DyTeIO4: simulated X-ray diffraction stick pattern (Cu Kα (λ = 1.5418 Å)), based on a structure optimized by DFT (GGA-PBE).
Lines closer than 0.1° are merged.

Cell and atoms:
Cell lengths 11.409, 7.118, 6.974 Å; angles 90.00, 105.55, 90.00 degrees
Space group C2/m (No. 12)
One atom of each set of equivalent atoms:
Dy: 0.246 0.000 0.367 x4
Te: 0.129 0.000 0.762 x4
I: 0.002 0.500 0.247 x4
O: 0.039 0.000 0.307 x4
O: 0.198 0.000 0.033 x4
O: 0.202 0.187 0.637 x8

Largest 8 diffraction maxima, sorted by position, 2θ = 10–80°:
| Position (°2θ) | I (rel.) | hkl |
| --- | --- | --- |
| 13.2 | 29.1 | 0 0 1 |
| 23.5 | 34.4 | 2 0 1 |
| 25.0 | 100.0 | 0 2 0 |
| 26.5 | 35.0 | 0 0 2 |
| 27.4 | 90.0 | 3 1 0 |
| 33.4 | 57.0 | 3 1 -2 |
| 36.8 | 27.4 | 0 2 2 |
| 49.7 | 27.0 | 3 3 -2 |

=====

Record 2
DyPaI6: simulated X-ray diffraction stick pattern (Cu Kα (λ = 1.5418 Å)), based on a structure optimized by DFT (GGA-PBE).
Lines closer than 0.1° are merged.

Cell and atoms:
Cell lengths 7.515, 14.790, 7.515 Å; angles 90.00, 109.73, 90.00 degrees
Space group C2/m (No. 12)
One atom of each set of equivalent atoms:
Dy: 0.000 0.000 0.000 x2
Pa: 0.000 0.500 0.500 x2
I: 0.245 0.148 0.245 x8
I: 0.248 0.000 0.752 x4

Largest 8 diffraction maxima, sorted by position, 2θ = 10–80°:
| Position (°2θ) | I (rel.) | hkl |
| --- | --- | --- |
| 12.0 | 65.7 | 0 2 0 |
| 15.6 | 57.2 | 1 1 -1 |
| 27.4 | 100.0 | 1 3 1 |
| 29.1 | 45.5 | 2 0 -2 |
| 35.1 | 25.8 | 2 4 0 |
| 36.4 | 29.0 | 0 6 0 |
| 40.4 | 70.7 | 3 3 -1 |
| 47.3 | 19.2 | 2 6 -2 |

=====

Record 3
PmDyPtI: simulated X-ray diffraction stick pattern (Cu Kα (λ = 1.5418 Å)), based on a structure optimized by DFT (GGA-PBE).
Lines closer than 0.1° are merged.

Cell and atoms:
Cell lengths 4.1958, 4.1958, 24.0525 Å; angles 90.00, 90.00, 120.00 degrees
Space group R3m (No. 160, hexagonal axes)
One atom of each set of equivalent atoms:
Pm: 0.0000 0.0000 0.0000 x3
Dy: 0.0000 0.0000 0.2109 x3
Pt: 0.0000 0.0000 0.6028 x3
I: 0.0000 0.0000 0.7749 x3

Largest 8 diffraction maxima, sorted by position, 2θ = 10–80°:
| Position (°2θ) | I (rel.) | hkl |
| --- | --- | --- |
| 11.0 | 38.6 | 0 0 3 |
| 25.6 | 25.1 | 0 1 2 |
| 30.8 | 100.0 | 0 1 5 |
| 43.1 | 46.8 | 1 1 0 |
| 45.2 | 25.0 | 1 0 10 |
| 53.9 | 20.9 | 2 0 5 |
| 55.7 | 16.8 | 1 0 13 |
| 71.4 | 18.1 | 1 2 5 |

=====

Record 4
PrDyTe2I: simulated X-ray diffraction stick pattern (Cu Kα (λ = 1.5418 Å)), based on a structure optimized by DFT (GGA-PBE).
Lines closer than 0.1° are merged.

Cell and atoms:
Cell lengths 4.632, 4.632, 15.135 Å; angles 90.00, 90.00, 90.00 degrees
Space group P4/nmm (No. 129, origin choice 2)
One atom of each set of equivalent atoms:
Pr: 0.250 0.250 0.155 x2
Dy: 0.250 0.250 0.587 x2
Te: 0.250 0.250 0.384 x2
Te: 0.250 0.250 0.790 x2
I: 0.250 0.750 0.000 x2

Largest 8 diffraction maxima, sorted by position, 2θ = 10–80°:
| Position (°2θ) | I (rel.) | hkl |
| --- | --- | --- |
| 27.2 | 100.0 | 1 1 0 |
| 27.9 | 62.8 | 1 1 1 |
| 29.5 | 61.3 | 0 0 5 |
| 32.6 | 49.4 | 1 1 3 |
| 35.4 | 51.7 | 1 0 5 |
| 36.3 | 72.3 | 1 1 4 |
| 38.9 | 97.9 | 2 0 0 |
| 49.6 | 57.8 | 2 0 5 |

=====

Record 5
RbDyI4: simulated X-ray diffraction stick pattern (Cu Kα (λ = 1.5418 Å)), based on a structure optimized by DFT (GGA-PBE).
Lines closer than 0.1° are merged.

Cell and atoms:
Cell lengths 6.105, 22.799, 8.491 Å; angles 90.00, 90.00, 90.00 degrees
Space group Cmc2_1 (No. 36)
One atom of each set of equivalent atoms:
Rb: 0.000 0.162 0.000 x4
Dy: 0.000 0.409 0.934 x4
I: 0.000 0.082 0.417 x4
I: 0.000 0.299 0.743 x4
I: 0.000 0.343 0.229 x4
I: 0.000 0.471 0.601 x4

Largest 8 diffraction maxima, sorted by position, 2θ = 10–80°:
| Position (°2θ) | I (rel.) | hkl |
| --- | --- | --- |
| 13.0 | 59.7 | 0 2 1 |
| 15.0 | 77.7 | 1 1 0 |
| 18.8 | 60.0 | 0 4 1 |
| 26.6 | 60.6 | 1 5 1 |
| 28.2 | 86.1 | 1 3 2 |
| 29.3 | 100.0 | 2 0 0 |
| 33.2 | 55.8 | 0 8 1 |
| 44.8 | 52.8 | 2 8 1 |

=====

Record 6
Rb3DyI8: simulated X-ray diffraction stick pattern (Cu Kα (λ = 1.5418 Å)), based on a structure optimized by DFT (GGA-PBE).
Lines closer than 0.1° are merged.

Cell and atoms:
Cell lengths 8.234, 8.234, 17.454 Å; angles 90.00, 90.00, 90.00 degrees
Space group I4/mmm (No. 139)
One atom of each set of equivalent atoms:
Rb: 0.000 0.000 0.000 x2
Rb: 0.000 0.500 0.250 x4
Dy: 0.000 0.000 0.500 x2
I: 0.224 0.224 0.390 x16

Largest 8 diffraction maxima, sorted by position, 2θ = 10–80°:
| Position (°2θ) | I (rel.) | hkl |
| --- | --- | --- |
| 11.9 | 19.9 | 1 0 1 |
| 18.3 | 35.1 | 1 1 2 |
| 21.6 | 18.8 | 2 0 0 |
| 29.8 | 100.0 | 2 0 4 |
| 30.7 | 50.2 | 2 2 0 |
| 44.0 | 18.0 | 4 0 0 |
| 52.4 | 16.2 | 2 2 8 |
| 54.1 | 27.2 | 4 2 4 |

=====

Record 7
Rb4DyI7: simulated X-ray diffraction stick pattern (Cu Kα (λ = 1.5418 Å)), based on a structure optimized by DFT (GGA-PBE).
Lines closer than 0.1° are merged.

Cell and atoms:
Cell lengths 18.564, 6.072, 12.414 Å; angles 90.00, 105.44, 90.00 degrees
Space group C2/m (No. 12)
One atom of each set of equivalent atoms:
Rb: 0.014 0.000 0.206 x4
Rb: 0.245 0.500 0.169 x4
Dy: 0.000 0.500 0.500 x2
I: 0.000 0.000 0.500 x2
I: 0.117 0.500 0.371 x4
I: 0.117 0.500 0.722 x4
I: 0.145 0.000 0.040 x4

Largest 8 diffraction maxima, sorted by position, 2θ = 10–80°:
| Position (°2θ) | I (rel.) | hkl |
| --- | --- | --- |
| 10.7 | 49.8 | 2 0 -1 |
| 13.8 | 39.4 | 2 0 1 |
| 17.7 | 44.3 | 1 1 1 |
| 23.5 | 34.7 | 3 1 1 |
| 25.7 | 58.1 | 4 0 -3 |
| 27.9 | 62.4 | 3 1 2 |
| 29.4 | 100.0 | 0 2 0 |
| 39.4 | 38.3 | 4 2 -3 |

=====

Record 8
Dy3RuI: simulated X-ray diffraction stick pattern (Cu Kα (λ = 1.5418 Å)), based on a structure optimized by DFT (GGA-PBE).
Lines closer than 0.1° are merged.

Cell and atoms:
Cell lengths 4.074, 7.235, 9.966 Å; angles 90.00, 90.00, 90.00 degrees
Space group Pmmn (No. 59, origin choice 2)
One atom of each set of equivalent atoms:
Dy: 0.250 0.003 0.141 x4
Dy: 0.250 0.750 0.631 x2
Ru: 0.250 0.750 0.905 x2
I: 0.250 0.250 0.634 x2

Largest 8 diffraction maxima, sorted by position, 2θ = 10–80°:
| Position (°2θ) | I (rel.) | hkl |
| --- | --- | --- |
| 26.2 | 36.0 | 0 2 1 |
| 28.3 | 78.3 | 1 0 2 |
| 34.4 | 100.0 | 1 2 1 |
| 36.0 | 34.6 | 0 0 4 |
| 36.7 | 37.3 | 0 2 3 |
| 43.1 | 35.4 | 1 2 3 |
| 44.5 | 25.0 | 2 0 0 |
| 57.4 | 24.2 | 1 2 5 |

=====

Record 9
Dy4RuI2: simulated X-ray diffraction stick pattern (Cu Kα (λ = 1.5418 Å)), based on a structure optimized by DFT (GGA-PBE).
Lines closer than 0.1° are merged.

Cell and atoms:
Cell lengths 6.366, 4.101, 11.295 Å; angles 90.00, 105.62, 90.00 degrees
Space group P2/m (No. 10)
One atom of each set of equivalent atoms:
Dy: 0.213 0.000 0.134 x2
Dy: 0.266 0.500 0.873 x2
Ru: 0.500 0.000 0.000 x1
I: 0.180 0.500 0.347 x2

Largest 8 diffraction maxima, sorted by position, 2θ = 10–80°:
| Position (°2θ) | I (rel.) | hkl |
| --- | --- | --- |
| 18.7 | 34.3 | 1 0 -2 |
| 28.8 | 99.9 | 1 1 -2 |
| 29.1 | 35.6 | 2 0 0 |
| 32.9 | 34.1 | 0 0 4 |
| 33.0 | 100.0 | 1 1 2 |
| 37.9 | 33.6 | 2 0 -4 |
| 38.9 | 30.0 | 1 1 3 |
| 48.4 | 31.7 | 3 1 -1 |

=====

Record 10
DyScI6: simulated X-ray diffraction stick pattern (Cu Kα (λ = 1.5418 Å)), based on a structure optimized by DFT (GGA-PBE).
Lines closer than 0.1° are merged.

Cell and atoms:
Cell lengths 7.293, 14.555, 7.292 Å; angles 90.00, 108.54, 90.00 degrees
Space group C2/m (No. 12)
One atom of each set of equivalent atoms:
Dy: 0.000 0.000 0.000 x2
Sc: 0.000 0.500 0.500 x2
I: 0.239 0.357 0.740 x8
I: 0.246 0.500 0.256 x4

Largest 8 diffraction maxima, sorted by position, 2θ = 10–80°:
| Position (°2θ) | I (rel.) | hkl |
| --- | --- | --- |
| 12.2 | 51.3 | 0 2 0 |
| 16.2 | 32.8 | 1 1 -1 |
| 23.7 | 45.6 | 1 3 -1 |
| 25.8 | 44.2 | 2 0 0 |
| 27.9 | 100.0 | 1 3 1 |
| 30.2 | 45.4 | 2 0 -2 |
| 35.8 | 20.4 | 0 4 2 |
| 41.6 | 67.2 | 3 3 -1 |

=====

Record 11
DySc2I6: simulated X-ray diffraction stick pattern (Cu Kα (λ = 1.5418 Å)), based on a structure optimized by DFT (GGA-PBE).
Lines closer than 0.1° are merged.

Cell and atoms:
Cell lengths 16.852, 4.068, 11.219 Å; angles 90.00, 115.92, 90.00 degrees
Space group C2/m (No. 12)
One atom of each set of equivalent atoms:
Dy: 0.000 0.000 0.000 x2
Sc: 0.178 0.500 0.351 x4
I: 0.033 0.000 0.290 x4
I: 0.149 0.500 0.061 x4
I: 0.189 0.500 0.617 x4

Largest 8 diffraction maxima, sorted by position, 2θ = 10–80°:
| Position (°2θ) | I (rel.) | hkl |
| --- | --- | --- |
| 11.1 | 58.5 | 2 0 -1 |
| 26.5 | 31.2 | 0 0 3 |
| 27.1 | 33.6 | 1 1 -2 |
| 28.2 | 100.0 | 3 1 0 |
| 32.1 | 34.3 | 2 0 -4 |
| 34.8 | 28.6 | 5 1 -1 |
| 41.6 | 40.8 | 5 1 -4 |
| 44.6 | 29.3 | 0 2 0 |

=====

Record 12
Dy7SnI12: simulated X-ray diffraction stick pattern (Cu Kα (λ = 1.5418 Å)), based on a structure optimized by DFT (GGA-PBE).
Lines closer than 0.1° are merged.

Cell and atoms:
Cell lengths 15.8456, 15.8456, 10.4367 Å; angles 90.00, 90.00, 120.00 degrees
Space group R-3 (No. 148, hexagonal axes)
One atom of each set of equivalent atoms:
Dy: 0.0000 0.0000 0.0000 x3
Dy: 0.0487 0.1686 0.3419 x18
Sn: 0.0000 0.0000 0.5000 x3
I: 0.0230 0.5874 0.1657 x18
I: 0.0519 0.1827 0.8390 x18

Largest 8 diffraction maxima, sorted by position, 2θ = 10–80°:
| Position (°2θ) | I (rel.) | hkl |
| --- | --- | --- |
| 11.2 | 20.5 | 1 1 0 |
| 29.0 | 100.0 | 3 1 2 |
| 41.1 | 37.7 | 2 5 0 |
| 42.0 | 36.5 | 4 -3 4 |
| 51.1 | 19.6 | 8 -6 2 |
| 60.2 | 12.1 | 6 2 4 |
| 67.5 | 17.0 | 5 6 2 |
| 68.8 | 15.6 | 2 5 6 |